TbErO4: theoretical PXRD pattern (a wavelength of 1.5418 Å), based on a crystal structure in Alexandria, relaxed with PBE.

Cell and atoms:
a = 6.7997 Å, b = 3.7374 Å, c = 6.2014 Å
α = 90.00°, β = 96.21°, γ = 90.00°
Atoms (fractional coordinates):
Tb 0.0000 0.0000 0.0000
Tb 0.5000 0.5000 0.0000
Er 0.3670 0.0000 0.4571
Er 0.8670 0.5000 0.4571
O 0.0366 0.0000 0.3772
O 0.0915 0.5000 0.7794
O 0.2767 0.5000 0.6697
O 0.3315 0.0000 0.0871
O 0.5366 0.5000 0.3772
O 0.5915 0.0000 0.7794
O 0.7767 0.0000 0.6697
O 0.8315 0.5000 0.0871

Principal peaks in the range 5° ≤ 2θ ≤ 70°, by intensity:
- 2.954 Å, 2θ 30.3, I = 100
- 2.833 Å, 2θ 31.6, I = 68
- 3.082 Å, 2θ 29.0, I = 46
- 1.930 Å, 2θ 47.1, I = 31
- 3.380 Å, 2θ 26.4, I = 31
- 1.783 Å, 2θ 51.2, I = 27
- 2.187 Å, 2θ 41.3, I = 20
- 3.271 Å, 2θ 27.3, I = 19



LiGePbO4: theoretical PXRD pattern (a wavelength of 1.5418 Å), based on a crystal structure in Alexandria, relaxed with PBE.

Cell and atoms:
a = 6.2636 Å, b = 6.2636 Å, c = 6.2636 Å
α = 119.96°, β = 113.77°, γ = 95.60°
Atoms (fractional coordinates):
Li 0.5000 0.0000 0.0000
Li 0.5000 0.5000 0.5000
Ge 0.1331 0.3831 0.7500
Ge 0.8669 0.6169 0.2500
Pb 0.0000 0.0000 0.0000
Pb 0.5000 0.0000 0.5000
O 0.1996 0.7262 0.4734
O 0.2472 0.2738 0.9734
O 0.2610 0.2746 0.5135
O 0.2610 0.7475 0.9865
O 0.7390 0.2525 0.0135
O 0.7390 0.7254 0.4865
O 0.7528 0.7262 0.0266
O 0.8004 0.2738 0.5266

Principal peaks in the range 5° ≤ 2θ ≤ 70°, by intensity:
- 2.829 Å, 2θ 31.6, I = 100
- 5.027 Å, 2θ 17.6, I = 57
- 4.208 Å, 2θ 21.1, I = 43
- 2.560 Å, 2θ 35.0, I = 39
- 3.134 Å, 2θ 28.5, I = 37
- 2.026 Å, 2θ 44.7, I = 29
- 1.556 Å, 2θ 59.4, I = 27
- 1.745 Å, 2θ 52.4, I = 26